Entry 1:
Tm2S3: simulated powder XRD pattern (Cu Kα (λ = 1.5418 Å)), based on a structure optimized by DFT (PBE).

```
Tm2S3
1.0
6.8101 0.0000 0.0000
-3.4051 5.8977 0.0000
0.0000 0.0000 18.5558
Tm S
12 18
Cartesian
0.0000 0.0000 0.0000
0.0000 0.0000 3.7543
0.0000 0.0000 9.2779
0.0000 0.0000 13.0322
0.0000 3.9318 0.6665
0.0000 3.9318 6.2556
0.0000 3.9318 9.9444
0.0000 3.9318 15.5335
3.4051 1.9659 0.6665
3.4051 1.9659 6.2556
3.4051 1.9659 9.9444
3.4051 1.9659 15.5335
-1.0227 1.7713 1.7986
-1.1558 2.0019 14.2667
-1.2555 2.1745 8.1656
-2.1496 3.7232 17.4435
-2.2493 3.8958 4.9888
-2.3824 4.1264 11.0765
2.0454 0.0000 1.7986
1.0227 1.7713 11.0765
2.3116 0.0000 14.2667
1.1558 2.0019 4.9888
2.5109 0.0000 8.1656
1.2555 2.1745 17.4435
4.2992 0.0000 17.4435
2.1496 3.7232 8.1656
4.4985 0.0000 4.9888
2.2493 3.8958 14.2667
4.7647 0.0000 11.0765
2.3824 4.1264 1.7986
```

Largest 8 diffraction maxima, by angle, 2θ = 15–90°:
two_theta, I/Imax
17.82, 27
24.41, 67
26.17, 100
32.62, 30
36.09, 33
39.36, 85
45.13, 31
46.18, 48

---

Entry 2:
Tm2S3: simulated powder XRD pattern (Cu Kα (λ = 1.5418 Å)), based on a structure optimized by DFT (PBE).

```
Tm2S3
1.0
10.8992 0.0000 0.0000
0.0000 3.8865 0.0000
-3.6046 0.0000 10.5564
Tm S
8 12
Cartesian
-0.2126 0.9716 2.0083
-0.3535 0.9716 6.1607
-0.1366 2.9148 10.5270
3.5134 0.9716 3.5019
3.7812 2.9148 7.0545
7.4312 0.9716 0.0294
7.6481 2.9148 4.3957
7.5072 2.9148 8.5481
-0.5581 2.9148 4.2407
-2.2702 0.9716 10.1668
-0.6197 2.9148 7.9131
1.9619 2.9148 2.3550
2.3059 0.9716 5.9495
4.7928 0.9716 1.1953
2.5018 2.9148 9.3610
4.9887 2.9148 4.6069
5.3327 0.9716 8.2014
7.9142 0.9716 2.6433
9.5648 2.9148 0.3896
7.8527 0.9716 6.3157
```

Largest 8 diffraction maxima, by angle, 2θ = 15–90°:
two_theta, I/Imax
23.94, 64
24.48, 100
26.82, 44
28.17, 40
31.59, 52
34.84, 42
43.01, 45
46.75, 38

---

Entry 3:
Tm2S3: simulated powder XRD pattern (Cu Kα (λ = 1.5418 Å)), based on a structure optimized by DFT (PBE).

```
Tm2S3
1.0
10.5053 0.0000 0.0000
0.0000 3.8105 0.0000
0.0000 0.0000 10.3890
Tm S
8 12
Cartesian
0.1153 0.9526 1.9454
2.0197 0.9526 5.2346
3.2330 2.8579 0.0402
5.1374 2.8579 7.1398
5.3679 0.9526 3.2491
7.2724 0.9526 10.3488
8.4856 2.8579 5.1543
10.3900 2.8579 8.4436
0.4818 2.8579 3.8806
1.2459 0.9526 9.8150
2.3784 2.8579 7.2170
2.8743 0.9526 2.0225
4.0068 2.8579 4.6205
4.7708 0.9526 9.0750
5.7345 2.8579 1.3139
6.4985 0.9526 5.7685
7.6310 2.8579 8.3664
8.1269 0.9526 3.1720
9.2594 2.8579 0.5740
10.0235 0.9526 6.5084
```

Largest 8 diffraction maxima, by angle, 2θ = 15–90°:
two_theta, I/Imax
24.10, 100
24.89, 43
26.32, 43
26.87, 54
27.11, 48
30.28, 71
36.07, 56
50.82, 35

---

Entry 4:
Tm2S3: simulated powder XRD pattern (Cu Kα (λ = 1.5418 Å)), based on a structure optimized by DFT (PBE).

```
Tm2S3
1.0
-4.1130 4.1130 12.3045
4.1130 -4.1130 12.3045
4.1130 4.1130 -12.3045
Tm S
16 24
Cartesian
5.2590 2.1442 -5.2050
0.0000 0.0000 4.0565
2.1442 1.1460 0.9473
2.9670 -1.9688 11.3573
2.0565 3.1509 -3.0761
5.0751 2.0565 3.0761
2.0565 0.9621 9.2284
-1.1460 1.9688 7.0995
2.1442 2.9670 5.2050
0.0000 4.1130 2.0958
1.1460 6.0818 -0.9473
0.0000 0.0000 20.5526
1.9688 1.1460 17.5095
-0.9621 2.0565 15.3807
1.9688 2.9670 13.2518
0.0000 4.1130 10.2088
5.6309 -0.5698 3.5323
3.5432 -1.5179 8.7722
2.6669 3.4669 -5.7178
4.7591 1.4461 0.4344
4.6828 2.5951 -2.6200
2.5951 0.5698 3.5323
-0.5257 1.4946 1.6072
1.4461 0.6461 6.5867
1.4461 3.4669 -0.4344
-0.5257 2.6184 4.5450
2.5951 3.5432 2.6200
4.6828 1.5179 8.7722
4.7591 2.6669 5.7178
2.6669 0.6461 11.8701
-0.5698 1.5179 9.6846
1.5179 0.5698 14.9245
1.4946 3.5873 7.7595
-0.6461 2.6669 12.7390
0.5257 5.6076 4.5450
2.6184 3.5873 10.6973
-1.4946 4.6387 7.7595
0.5257 6.7313 1.6072
-0.6461 1.4461 18.0223
-2.6184 4.6387 10.6973
```

Largest 8 diffraction maxima, by angle, 2θ = 15–90°:
two_theta, I/Imax
26.57, 100
34.51, 87
41.10, 53
49.58, 24
52.21, 23
57.11, 19
70.60, 20
87.08, 14